Diffraction record for Pm2PrCuSe5. The X-ray diffraction stick pattern is computed, not measured: it uses a crystal structure in Alexandria, relaxed with GGA-PBE and Cu Kα X-rays.

Main lines, low angle first (15° ≤ 2θ ≤ 90°):
d = 3.690 Å, 24.1 deg, I 19.9, (0 2 3); d = 3.024 Å, 29.5 deg, I 18.6, (0 0 4); d = 2.958 Å, 30.2 deg, I 47.7, (0 6 1); d = 2.836 Å, 31.5 deg, I 100.0, (1 1 3); d = 2.486 Å, 36.1 deg, I 82.0, (1 5 2); d = 2.259 Å, 39.9 deg, I 20.4, (1 5 3); d = 2.139 Å, 42.2 deg, I 17.7, (0 8 2); d = 2.044 Å, 44.3 deg, I 30.9, (2 0 0)

Crystal structure
Cell: 4.088 18.300 12.096 Å, 90.00 90.00 90.00°
Space group Cmc2_1 (No. 36)
Symmetry-distinct sites (fractional):
1 Pm 0.000 0.104 0.000 (multiplicity 4)
2 Pm 0.000 0.116 0.626 (multiplicity 4)
3 Pr 0.000 0.194 0.327 (multiplicity 4)
4 Cu 0.000 0.437 0.771 (multiplicity 4)
5 Se 0.000 0.041 0.379 (multiplicity 4)
6 Se 0.000 0.292 0.003 (multiplicity 4)
7 Se 0.000 0.322 0.654 (multiplicity 4)
8 Se 0.000 0.360 0.318 (multiplicity 4)
9 Se 0.000 0.499 0.096 (multiplicity 4)

Diffraction record for PmPrCu2Se4. The X-ray diffraction stick pattern is computed, not measured: it uses a crystal structure in Alexandria, relaxed with GGA-PBE and Cu Kα X-rays.

Main lines, low angle first (15° ≤ 2θ ≤ 90°):
d = 4.934 Å, 18.0 deg, I 22.3, (1 1 0); d = 3.098 Å, 28.8 deg, I 100.0, (1 1 2); d = 2.633 Å, 34.1 deg, I 50.2, (0 2 2); d = 2.615 Å, 34.3 deg, I 50.6, (2 0 2); d = 2.467 Å, 36.4 deg, I 94.9, (2 2 0); d = 1.937 Å, 46.9 deg, I 24.5, (1 3 2); d = 1.923 Å, 47.3 deg, I 24.4, (3 1 2); d = 1.846 Å, 49.4 deg, I 33.3, (1 1 4)

Crystal structure
Cell: 6.936 7.019 7.963 Å, 90.00 90.00 90.00°
Space group I222 (No. 23)
Symmetry-distinct sites (fractional):
1 Pm 0.000 0.000 0.000 (multiplicity 2)
2 Pr 0.000 0.000 0.500 (multiplicity 2)
3 Cu 0.000 0.500 0.341 (multiplicity 4)
4 Se 0.241 0.269 0.297 (multiplicity 8)

Diffraction record for PmCu8Pt3. The X-ray diffraction stick pattern is computed, not measured: it uses a crystal structure in Alexandria, relaxed with GGA-PBE and Cu Kα X-rays.

Main lines, low angle first (15° ≤ 2θ ≤ 90°):
d = 2.464 Å, 36.5 deg, I 63.8, (1 1 0); d = 2.273 Å, 39.6 deg, I 100.0, (1 0 3); d = 2.102 Å, 43.0 deg, I 87.0, (1 1 2); d = 2.063 Å, 43.9 deg, I 55.3, (0 2 1); d = 1.383 Å, 67.8 deg, I 39.5, (2 1 3); d = 1.342 Å, 70.1 deg, I 23.7, (0 0 6); d = 1.286 Å, 73.7 deg, I 22.4, (0 2 5); d = 1.232 Å, 77.5 deg, I 21.1, (2 2 0)

Crystal structure
Cell: 4.9285 4.9285 8.0579 Å, 90.00 90.00 120.00°
Space group P3m1 (No. 156)
Symmetry-distinct sites (fractional):
1 Pm 0.0000 0.0000 0.0000 (multiplicity 1)
2 Cu 0.1649 0.3299 0.6723 (multiplicity 3)
3 Cu 0.3333 0.6667 0.4317 (multiplicity 1)
4 Cu 0.3333 0.6667 0.9322 (multiplicity 1)
5 Cu 0.5036 0.0072 0.1963 (multiplicity 3)
6 Pt 0.0000 0.0000 0.3746 (multiplicity 1)
7 Pt 0.6667 0.3333 0.5002 (multiplicity 1)
8 Pt 0.6667 0.3333 0.8557 (multiplicity 1)

Diffraction record for Pm2Cu2Pt15. The X-ray diffraction stick pattern is computed, not measured: it uses a crystal structure in Alexandria, relaxed with GGA-PBE and Cu Kα X-rays.

Main lines, low angle first (15° ≤ 2θ ≤ 90°):
d = 4.628 Å, 19.2 deg, I 40.3, (1 1 0); d = 2.314 Å, 38.9 deg, I 36.8, (2 2 0); d = 2.295 Å, 39.2 deg, I 100.0, (3 0 3); d = 2.242 Å, 40.2 deg, I 37.4, (0 0 6); d = 2.056 Å, 44.0 deg, I 77.9, (2 2 3); d = 1.459 Å, 63.8 deg, I 21.2, (3 3 3); d = 1.336 Å, 70.5 deg, I 22.9, (6 0 0); d = 1.148 Å, 84.4 deg, I 23.1, (6 0 6)

Crystal structure
Cell: 9.2562 9.2562 13.4537 Å, 90.00 90.00 120.00°
Space group R-3m (No. 166, hexagonal axes)
Symmetry-distinct sites (fractional):
1 Pm 0.0000 0.0000 0.1606 (multiplicity 6)
2 Cu 0.0000 0.0000 0.4054 (multiplicity 6)
3 Pt 0.0000 0.3106 0.5000 (multiplicity 18)
4 Pt 0.0000 0.5000 0.0000 (multiplicity 9)
5 Pt 0.9996 0.4998 0.3428 (multiplicity 18)

Diffraction record for Pm3Cu3Pt. The X-ray diffraction stick pattern is computed, not measured: it uses a crystal structure in Alexandria, relaxed with GGA-PBE and Cu Kα X-rays.

Main lines, low angle first (15° ≤ 2θ ≤ 90°):
d = 2.753 Å, 32.5 deg, I 100.0, (1 1 2); d = 2.701 Å, 33.2 deg, I 49.9, (1 0 5); d = 2.458 Å, 36.6 deg, I 24.5, (1 1 4); d = 2.287 Å, 39.4 deg, I 33.2, (0 1 7); d = 2.156 Å, 41.9 deg, I 28.7, (0 2 0); d = 2.124 Å, 42.6 deg, I 24.7, (1 1 6); d = 1.933 Å, 47.0 deg, I 20.5, (2 0 0); d = 1.685 Å, 54.5 deg, I 24.3, (1 2 5)

Crystal structure
Cell: 3.866 4.312 18.880 Å, 90.00 90.00 90.00°
Space group Imm2 (No. 44)
Symmetry-distinct sites (fractional):
1 Pm 0.000 0.000 0.000 (multiplicity 2)
2 Pm 0.000 0.000 0.365 (multiplicity 2)
3 Pm 0.000 0.500 0.188 (multiplicity 2)
4 Cu 0.000 0.000 0.546 (multiplicity 2)
5 Cu 0.000 0.000 0.830 (multiplicity 2)
6 Cu 0.000 0.500 0.615 (multiplicity 2)
7 Pt 0.000 0.500 0.749 (multiplicity 2)

Diffraction record for PmCu10Pt2. The X-ray diffraction stick pattern is computed, not measured: it uses a crystal structure in Alexandria, relaxed with GGA-PBE and Cu Kα X-rays.

Main lines, low angle first (15° ≤ 2θ ≤ 90°):
d = 4.236 Å, 21.0 deg, I 31.6, (0 2 2); d = 2.487 Å, 36.1 deg, I 26.2, (1 3 3); d = 2.232 Å, 40.4 deg, I 100.0, (2 2 2); d = 2.173 Å, 41.6 deg, I 28.2, (1 1 5); d = 2.118 Å, 42.7 deg, I 88.4, (0 4 4); d = 1.989 Å, 45.6 deg, I 29.3, (2 0 4); d = 1.960 Å, 46.3 deg, I 28.3, (2 4 0); d = 1.244 Å, 76.6 deg, I 27.2, (2 6 6)

Crystal structure
Cell: 5.252 11.786 12.186 Å, 90.00 90.00 90.00°
Space group Fmmm (No. 69)
Symmetry-distinct sites (fractional):
1 Pm 0.000 0.000 0.000 (multiplicity 4)
2 Cu 0.000 0.108 0.383 (multiplicity 16)
3 Cu 0.000 0.175 0.178 (multiplicity 16)
4 Cu 0.250 0.000 0.250 (multiplicity 8)
5 Pt 0.250 0.250 0.000 (multiplicity 8)